Structure and simulated powder XRD pattern of UH10CSe2N4O8 (a cell relaxed with GGA-PBE; CuKα).

Peak list (12 most intense, 10° ≤ 2θ ≤ 80°, low angle first)
(hkl)  2θ/deg  d (Å)  intensity
1 0 1  13.7  6.456  33
1 1 1  15.1  5.867  100
1 0 -1  19.2  4.635  24
1 0 2  19.6  4.538  15
1 2 1  21.3  4.181  62
-1 1 1  23.1  3.853  63
2 1 0  26.6  3.350  33
2 0 0  27.3  3.272  25
1 -2 2  29.0  3.082  37
0 3 -1  29.9  2.985  16
0 1 -3  30.4  2.945  20
1 2 -2  30.9  2.897  18

Structure:
abc: 7.152 9.572 9.722
angles: 88.46 70.40 76.50
Space group P-1 (No. 2)
Inequivalent atoms, fractional coordinates:
U  0.236  0.029  0.192
H  0.042  0.243  0.533
H  0.044  0.596  0.760
H  0.204  0.736  0.906
H  0.238  0.509  0.161
H  0.243  0.652  0.269
H  0.262  0.511  0.617
H  0.267  0.304  0.493
H  0.355  0.569  0.884
H  0.402  0.689  0.748
H  0.447  0.710  0.907
C  0.022  0.415  0.663
Se  0.259  0.271  0.928
Se  0.311  0.863  0.517
N  0.117  0.313  0.555
N  0.123  0.507  0.691
N  0.174  0.574  0.255
N  0.353  0.677  0.861
O  0.055  0.874  0.624
O  0.074  0.251  0.093
O  0.115  0.922  0.112
O  0.288  0.840  0.344
O  0.351  0.406  0.969
O  0.361  0.131  0.275
O  0.433  0.698  0.549
O  0.436  0.117  0.950